For Mn4Co2Os, a structure optimized by DFT (GGA-PBE) gives the calculated X-ray powder pattern in this record (Cu Kα, 1.54184 Å).
No peak broadening, texture or thermal motion is included.

Crystal structure
```
data_Mn4Co2Os
_symmetry_space_group_name_H-M 'I -4 2 d'
_symmetry_Int_Tables_number 122
_symmetry_space_group_name_Hall 'I -4 2bw'
_cell_length_a 7.1264
_cell_length_b 7.1264
_cell_length_c 7.0629
_cell_angle_alpha 90.00
_cell_angle_beta 90.00
_cell_angle_gamma 90.00
loop_
_atom_site_label
_atom_site_fract_x
_atom_site_fract_y
_atom_site_fract_z
Mn1 0.0751 0.1597 0.3122
Co1 0.1593 0.2500 0.6250
Os1 0.0000 0.0000 0.0000
```

Top 10 peaks for 5 to 70 degrees two-theta, by intensity:
d [Å]	2theta	I_rel
1.901	47.8	1000
2.252	40.0	829
2.235	40.3	563
2.905	30.8	409
5.017	17.7	354
2.892	30.9	204
1.582	58.3	181
2.520	35.6	169
3.563	25.0	167
1.894	48.0	149

=====

For EuInGe, a structure optimized by DFT (GGA-PBE) gives the calculated X-ray powder pattern in this record (Cu Kα, 1.54184 Å).
No peak broadening, texture or thermal motion is included.

Crystal structure
```
data_EuInGe
_symmetry_space_group_name_H-M 'P 21 21 21'
_symmetry_Int_Tables_number 19
_cell_length_a 4.0643
_cell_length_b 4.7203
_cell_length_c 16.4895
_cell_angle_alpha 90.00
_cell_angle_beta 90.00
_cell_angle_gamma 90.00
loop_
_symmetry_equiv_pos_as_xyz
'x,y,z'
'-x+1/2,-y,z+1/2'
'x+1/2,-y+1/2,-z'
'-x,y+1/2,-z+1/2'
loop_
_atom_site_label
_atom_site_fract_x
_atom_site_fract_y
_atom_site_fract_z
Eu1 0.0345 0.2495 0.4018
In1 0.1574 0.7505 0.7144
Ge1 0.0276 0.7509 0.5471
```

Top 10 peaks for 5 to 70 degrees two-theta, by intensity:
d [Å]	2theta	I_rel
2.886	31.0	1000
2.703	33.1	615
2.360	38.1	356
3.028	29.5	333
3.268	27.3	266
2.467	36.4	169
2.038	44.5	159
2.748	32.6	134
1.543	60.0	132
1.913	47.5	118

=====

For Pr4TePbC, a structure optimized by DFT (GGA-PBE) gives the calculated X-ray powder pattern in this record (Cu Kα, 1.54184 Å).
No peak broadening, texture or thermal motion is included.

Crystal structure
```
data_Pr4TePbC
_symmetry_space_group_name_H-M 'C m c m'
_symmetry_Int_Tables_number 63
_symmetry_space_group_name_Hall '-C 2c 2'
_cell_length_a 7.1784
_cell_length_b 16.5021
_cell_length_c 7.1939
_cell_angle_alpha 90.00
_cell_angle_beta 90.00
_cell_angle_gamma 90.00
loop_
_atom_site_label
_atom_site_fract_x
_atom_site_fract_y
_atom_site_fract_z
Pr1 0.0000 0.0918 0.2500
Pr2 0.0000 0.4073 0.2500
Pr3 0.2500 0.2500 0.0000
Te1 0.0000 0.3884 0.7500
Pb1 0.0000 0.1073 0.7500
C1 0.0000 0.2502 0.2500
```

Top 10 peaks for 5 to 70 degrees two-theta, by intensity:
d [Å]	2theta	I_rel
2.710	33.1	1000
2.541	35.3	588
3.294	27.1	582
1.499	61.9	347
1.866	48.8	319
2.750	32.6	248
3.593	24.8	205
1.496	62.0	165
1.577	58.5	137
1.798	50.8	105

=====

For Be6ZnIr, a structure optimized by DFT (GGA-PBE) gives the calculated X-ray powder pattern in this record (Cu Kα, 1.54184 Å).
No peak broadening, texture or thermal motion is included.

Crystal structure
```
data_Be6ZnIr
_symmetry_space_group_name_H-M 'P m -3'
_symmetry_Int_Tables_number 200
_symmetry_space_group_name_Hall '-P 2 2 3'
_cell_length_a 4.3088
_cell_length_b 4.3088
_cell_length_c 4.3088
_cell_angle_alpha 90.00
_cell_angle_beta 90.00
_cell_angle_gamma 90.00
loop_
_atom_site_label
_atom_site_fract_x
_atom_site_fract_y
_atom_site_fract_z
Be1 0.0000 0.2581 0.5000
Zn1 0.0000 0.0000 0.0000
Ir1 0.5000 0.5000 0.5000
```

Top 9 peaks for 5 to 70 degrees two-theta, by intensity:
d [Å]	2theta	I_rel
3.047	29.3	1000
1.759	52.0	492
4.309	20.6	263
2.154	41.9	231
1.363	68.9	175
1.927	47.2	132
1.523	60.8	128
2.488	36.1	84
1.436	64.9	64